No. 1
Structure and theoretical XRD peak list of Cr2Sb (a DFT-relaxed cell (PBE, Alexandria); Cu Kα).
No peak broadening, texture or thermal motion is included.

Main lines, sorted by position (15° ≤ 2θ ≤ 90°):
2θ = 20.7°, intensity 137
2θ = 28.7°, intensity 196
2θ = 30.8°, intensity 218
2θ = 39.5°, intensity 1000
2θ = 40.7°, intensity 390
2θ = 42.1°, intensity 451
2θ = 43.1°, intensity 762
2θ = 54.3°, intensity 131
2θ = 59.9°, intensity 206
2θ = 75.9°, intensity 146

```
Cr2Sb
1.0
4.5623 -1.5442 0.0000
4.5623 1.5442 0.0000
-2.2986 0.0000 6.3595
Cr Sb
4 2
Direct
0.1767 0.1767 0.0480
0.1802 0.1802 0.6217
0.8198 0.8198 0.3783
0.8233 0.8233 0.9520
0.4816 0.4816 0.7302
0.5184 0.5184 0.2698
```

---

No. 2
Structure and theoretical XRD peak list of Cr5Sb3 (a DFT-relaxed cell (PBE, Alexandria); Cu Kα).
No peak broadening, texture or thermal motion is included.

Main lines, sorted by position (15° ≤ 2θ ≤ 90°):
2θ = 24.5°, intensity 112
2θ = 26.8°, intensity 115
2θ = 33.5°, intensity 191
2θ = 39.0°, intensity 1000
2θ = 41.8°, intensity 130
2θ = 43.6°, intensity 217
2θ = 44.6°, intensity 89
2θ = 50.2°, intensity 124
2θ = 68.6°, intensity 92
2θ = 76.9°, intensity 122

```
Cr5Sb3
1.0
3.6321 -4.3175 0.0000
3.6321 4.3175 0.0000
0.0000 0.0000 4.1543
Cr Sb
5 3
Direct
0.0000 0.0000 0.0000
0.0000 0.5000 0.0000
0.2846 0.2846 0.5000
0.5000 0.0000 0.0000
0.7154 0.7154 0.5000
0.1995 0.8005 0.5000
0.5000 0.5000 0.0000
0.8005 0.1995 0.5000
```

---

No. 3
Structure and theoretical XRD peak list of CrSb (a DFT-relaxed cell (PBE, Alexandria); Cu Kα).
No peak broadening, texture or thermal motion is included.

Main lines, sorted by position (15° ≤ 2θ ≤ 90°):
2θ = 24.6°, intensity 334
2θ = 29.5°, intensity 1000
2θ = 29.7°, intensity 629
2θ = 32.6°, intensity 621
2θ = 36.0°, intensity 284
2θ = 41.2°, intensity 787
2θ = 41.4°, intensity 346
2θ = 43.1°, intensity 345
2θ = 43.5°, intensity 750
2θ = 55.4°, intensity 307

```
CrSb
1.0
5.4929 0.0000 0.0000
0.0000 7.1860 0.0000
0.0000 0.0000 8.3980
Cr Sb
8 8
Direct
0.0086 0.1672 0.1198
0.2239 0.9771 0.3715
0.2761 0.0229 0.8715
0.4914 0.8328 0.6198
0.5086 0.3328 0.8802
0.7239 0.5229 0.6285
0.7761 0.4771 0.1285
0.9914 0.6672 0.3802
0.0073 0.8041 0.0836
0.0209 0.3698 0.8499
0.4791 0.6302 0.3499
0.4927 0.1959 0.5836
0.5073 0.6959 0.9164
0.5209 0.1302 0.1501
0.9791 0.8698 0.6501
0.9927 0.3041 0.4164
```

---

No. 4
Structure and theoretical XRD peak list of Cr3Sb5 (a DFT-relaxed cell (PBE, Alexandria); Cu Kα).
No peak broadening, texture or thermal motion is included.

Main lines, sorted by position (15° ≤ 2θ ≤ 90°):
2θ = 23.0°, intensity 378
2θ = 24.8°, intensity 788
2θ = 27.5°, intensity 339
2θ = 33.9°, intensity 807
2θ = 35.2°, intensity 287
2θ = 37.3°, intensity 626
2θ = 37.5°, intensity 613
2θ = 38.3°, intensity 1000
2θ = 38.4°, intensity 328
2θ = 39.3°, intensity 558

```
Cr3Sb5
1.0
3.5837 -7.2556 0.0000
3.5837 7.2556 0.0000
-3.5452 0.0000 7.2505
Cr Sb
6 10
Direct
0.0000 0.0000 0.0000
0.2534 0.7531 0.8180
0.3189 0.3189 0.6342
0.5016 0.8180 0.3177
0.7531 0.2534 0.8180
0.8180 0.5016 0.3177
0.0758 0.7005 0.1006
0.2010 0.4178 0.9425
0.2938 0.9185 0.5343
0.4128 0.4128 0.3170
0.4178 0.2010 0.9425
0.5770 0.7938 0.6928
0.7005 0.0758 0.1006
0.7938 0.5770 0.6928
0.9147 0.9147 0.3188
0.9185 0.2938 0.5343
```

---

No. 5
Structure and theoretical XRD peak list of CrSb4 (a DFT-relaxed cell (PBE, Alexandria); Cu Kα).
No peak broadening, texture or thermal motion is included.

Main lines, sorted by position (15° ≤ 2θ ≤ 90°):
2θ = 19.3°, intensity 66
2θ = 27.4°, intensity 830
2θ = 33.7°, intensity 31
2θ = 39.2°, intensity 1000
2θ = 48.5°, intensity 231
2θ = 52.6°, intensity 15
2θ = 56.6°, intensity 166
2θ = 64.0°, intensity 299
2θ = 71.0°, intensity 332
2θ = 84.2°, intensity 106

```
CrSb4
1.0
-3.2536 3.2536 3.2536
3.2536 -3.2536 3.2536
3.2536 3.2536 -3.2536
Cr Sb
1 4
Direct
0.0000 0.0000 0.0000
0.0000 0.0000 0.5000
0.0000 0.5000 0.0000
0.5000 0.0000 0.0000
0.5000 0.5000 0.5000
```

---

No. 6
Structure and theoretical XRD peak list of ScCr2Sb (a DFT-relaxed cell (PBE, Alexandria); Cu Kα).
No peak broadening, texture or thermal motion is included.

Main lines, sorted by position (15° ≤ 2θ ≤ 90°):
2θ = 20.7°, intensity 179
2θ = 31.6°, intensity 129
2θ = 38.0°, intensity 1000
2θ = 42.1°, intensity 369
2θ = 48.2°, intensity 122
2θ = 61.1°, intensity 114
2θ = 65.9°, intensity 178
2θ = 74.3°, intensity 246
2θ = 81.3°, intensity 96
2θ = 83.0°, intensity 91

```
ScCr2Sb
1.0
4.2914 0.0000 0.0000
0.0000 4.2914 0.0000
0.0000 0.0000 3.7779
Sc Cr Sb
1 2 1
Direct
0.0000 0.0000 0.0000
0.0000 0.5000 0.5000
0.5000 0.0000 0.5000
0.5000 0.5000 0.0000
```

---

No. 7
Structure and theoretical XRD peak list of Cr2SbSe (a DFT-relaxed cell (PBE, Alexandria); Cu Kα).
No peak broadening, texture or thermal motion is included.

Main lines, sorted by position (15° ≤ 2θ ≤ 90°):
2θ = 28.8°, intensity 378
2θ = 30.9°, intensity 392
2θ = 34.5°, intensity 1000
2θ = 39.7°, intensity 475
2θ = 47.0°, intensity 473
2θ = 49.6°, intensity 341
2θ = 59.6°, intensity 226
2θ = 65.3°, intensity 198
2θ = 69.9°, intensity 143
2θ = 83.1°, intensity 144

```
Cr2SbSe
1.0
3.6756 0.0000 0.0000
0.0000 3.6756 0.0000
0.0000 0.0000 5.7813
Cr Sb Se
2 1 1
Direct
0.0000 0.0000 0.0000
0.5000 0.5000 0.3401
0.0000 0.0000 0.4855
0.5000 0.5000 0.9162
```

---

No. 8
Structure and theoretical XRD peak list of SmCrSb3 (a DFT-relaxed cell (PBE, Alexandria); Cu Kα).
No peak broadening, texture or thermal motion is included.

Main lines, sorted by position (15° ≤ 2θ ≤ 90°):
2θ = 29.1°, intensity 268
2θ = 29.3°, intensity 214
2θ = 31.8°, intensity 688
2θ = 32.5°, intensity 442
2θ = 34.5°, intensity 1000
2θ = 35.5°, intensity 222
2θ = 36.1°, intensity 276
2θ = 41.4°, intensity 672
2θ = 55.4°, intensity 255
2θ = 69.0°, intensity 232

```
SmCrSb3
1.0
12.9271 0.0000 0.0000
0.0000 6.2550 0.0000
0.0000 0.0000 6.0981
Sm Cr Sb
4 4 12
Direct
0.1899 0.0052 0.2500
0.1899 0.4948 0.7500
0.8101 0.5052 0.2500
0.8101 0.9948 0.7500
0.4047 0.7500 0.0000
0.4047 0.7500 0.5000
0.5953 0.2500 0.0000
0.5953 0.2500 0.5000
0.0020 0.7500 0.0000
0.0020 0.7500 0.5000
0.2769 0.0003 0.7500
0.2769 0.4997 0.2500
0.4369 0.1009 0.2500
0.4369 0.3991 0.7500
0.5631 0.6009 0.2500
0.5631 0.8991 0.7500
0.7231 0.9997 0.2500
0.7231 0.5003 0.7500
0.9980 0.2500 0.0000
0.9980 0.2500 0.5000
```